1.
For Tm2Tl3, a DFT-relaxed cell (PBE, Alexandria) gives the computed PXRD pattern in this record (a wavelength of 1.5418 Å).

Top 8 peaks for 2θ = 10–80°, by angle:
- 2θ 32.79, I 100
- 2θ 34.75, I 45
- 2θ 44.01, I 10
- 2θ 49.96, I 16
- 2θ 57.26, I 18
- 2θ 61.06, I 34
- 2θ 68.75, I 11
- 2θ 73.80, I 7

Cell and atoms:
a b c (Å): 3.651 3.651 20.573
angles (deg): 90.00 90.00 90.00
Element x y z (fractional)
Tm: 0.000 0.000 0.098
Tm: 0.000 0.000 0.293
Tm: 0.000 0.000 0.707
Tm: 0.000 0.000 0.902
Tl: 0.000 0.000 0.500
Tl: 0.500 0.500 0.000
Tl: 0.500 0.500 0.195
Tl: 0.500 0.500 0.388
Tl: 0.500 0.500 0.612
Tl: 0.500 0.500 0.805

2.
For Tm5Tl, a DFT-relaxed cell (PBE, Alexandria) gives the computed PXRD pattern in this record (a wavelength of 1.5418 Å).

Top 8 peaks for 2θ = 10–80°, by angle:
- 2θ 29.59, I 19
- 2θ 30.01, I 14
- 2θ 32.34, I 34
- 2θ 33.82, I 100
- 2θ 34.19, I 40
- 2θ 53.03, I 17
- 2θ 58.62, I 19
- 2θ 63.92, I 13

Cell and atoms:
a b c (Å): 6.524 6.524 8.135
angles (deg): 104.12 104.12 31.15
Element x y z (fractional)
Tm: 0.000 0.000 0.000
Tm: 0.033 0.033 0.609
Tm: 0.315 0.315 0.679
Tm: 0.368 0.368 0.264
Tm: 0.645 0.645 0.341
Tl: 0.712 0.712 0.948

3.
For Tm3Tl5, a DFT-relaxed cell (PBE, Alexandria) gives the computed PXRD pattern in this record (a wavelength of 1.5418 Å).

Top 8 peaks for 2θ = 10–80°, by angle:
- 2θ 33.26, I 100
- 2θ 33.63, I 12
- 2θ 34.11, I 30
- 2θ 34.68, I 13
- 2θ 35.73, I 28
- 2θ 50.23, I 14
- 2θ 60.53, I 13
- 2θ 67.02, I 12

Cell and atoms:
a b c (Å): 6.433 6.433 10.513
angles (deg): 90.00 90.00 77.25
Element x y z (fractional)
Tm: 0.095 0.905 0.750
Tm: 0.289 0.289 0.000
Tm: 0.289 0.289 0.500
Tm: 0.711 0.711 0.000
Tm: 0.711 0.711 0.500
Tm: 0.905 0.095 0.250
Tl: 0.010 0.441 0.750
Tl: 0.203 0.797 0.033
Tl: 0.203 0.797 0.467
Tl: 0.441 0.010 0.250
Tl: 0.496 0.504 0.750
Tl: 0.504 0.496 0.250
Tl: 0.559 0.990 0.750
Tl: 0.797 0.203 0.533
Tl: 0.797 0.203 0.967
Tl: 0.990 0.559 0.250